PrHoEr2Ag4: simulated powder X-ray diffraction pattern (Cu Kα), based on a cell relaxed with PBE.
Lines closer than 0.1° are merged.

Crystal structure
```
data_PrHoEr2Ag4
_chemical_formula_sum 'Pr3 Ho3 Er6 Ag12'
_symmetry_space_group_name_H-M 'R -3 m'
_symmetry_Int_Tables_number 166
_symmetry_space_group_name_Hall '-R 3 2"'
_cell_length_a 5.1573
_cell_length_b 5.1573
_cell_length_c 25.4995
_cell_angle_alpha 90.00
_cell_angle_beta 90.00
_cell_angle_gamma 120.00
loop_
_atom_site_label
_atom_site_fract_x
_atom_site_fract_y
_atom_site_fract_z
Pr1 0.0000 0.0000 0.0000
Ho1 0.0000 0.0000 0.5000
Er1 0.0000 0.0000 0.2485
Ag1 0.0000 0.0000 0.1274
Ag2 0.0000 0.0000 0.3797
```

Principal peaks in the range 2θ from 5° to 70°, low angle first:
d 3.658, rel. 7; d 2.594, rel. 100; d 2.579, rel. 100; d 2.108, rel. 2; d 1.829, rel. 35; d 1.640, rel. 2; d 1.632, rel. 2; d 1.501, rel. 17; d 1.492, rel. 35; d 1.489, rel. 18